Starting from DFT lattice parameters and positions (PBE+U), the powder XRD pattern of ZnMo4O9 was simulated for Cu Ka.

Largest 10 diffraction maxima, in order of rising 2θ, 2θ = 15–90°:
- 30.77 deg, intensity 100, (1 2 1)
- 35.31 deg, intensity 8, (0 0 2)
- 35.87 deg, intensity 16, (3 1 0)
- 51.21 deg, intensity 36, (3 1 2)
- 51.63 deg, intensity 17, (2 4 0)
- 60.57 deg, intensity 12, (1 2 3)
- 61.31 deg, intensity 24, (5 0 1)
- 64.10 deg, intensity 6, (2 4 2)
- 83.56 deg, intensity 9, (4 3 3)
- 84.21 deg, intensity 5, (3 6 1)

Structure:
```
data_ZnMo4O9
_chemical_formula_sum 'Zn2 Mo8 O18'
_cell_length_a 7.9177
_cell_length_b 7.9177
_cell_length_c 5.0844
_cell_angle_alpha 90.00
_cell_angle_beta 90.00
_cell_angle_gamma 90.00
_symmetry_space_group_name_H-M 'P 1'
_symmetry_Int_Tables_number 1
loop_
_symmetry_equiv_pos_as_xyz
'x,y,z'
loop_
_atom_site_label
_atom_site_fract_x
_atom_site_fract_y
_atom_site_fract_z
_atom_site_occupancy
Zn1 0.2500 0.2500 0.2374 1
Zn2 0.7500 0.7500 0.7626 1
Mo1 0.0377 0.8605 0.2674 1
Mo2 0.1395 0.5377 0.7326 1
Mo3 0.3605 0.9623 0.7326 1
Mo4 0.4623 0.6395 0.2674 1
Mo5 0.5377 0.3605 0.7326 1
Mo6 0.6395 0.0377 0.2674 1
Mo7 0.8605 0.4623 0.2674 1
Mo8 0.9623 0.1395 0.7326 1
O1 0.0151 0.3378 0.9886 1
O2 0.0532 0.3512 0.4959 1
O3 0.1488 0.0532 0.4959 1
O4 0.1622 0.0151 0.9886 1
O5 0.2500 0.7500 0.5000 1
O6 0.3378 0.4849 0.9886 1
O7 0.3512 0.4468 0.4959 1
O8 0.4468 0.1488 0.4959 1
O9 0.4849 0.1622 0.9886 1
O10 0.5151 0.8378 0.0114 1
O11 0.5532 0.8512 0.5041 1
O12 0.6488 0.5532 0.5041 1
O13 0.6622 0.5151 0.0114 1
O14 0.7500 0.2500 0.5000 1
O15 0.8378 0.9849 0.0114 1
O16 0.8512 0.9468 0.5041 1
O17 0.9468 0.6488 0.5041 1
O18 0.9849 0.6622 0.0114 1
```